[1]
Theoretical powder XRD pattern
Compound: TmMg2Ni9
Radiation: λ = 1.5418 Å (Cu Kα)
Structure: DFT lattice parameters and positions (PBE)
Lines closer than 0.1° are merged.

Largest 8 diffraction maxima, by intensity, 10 to 90 degrees two-theta:
2θ/deg  I/Imax
43.94  100
11.25  44
43.37  25
46.15  23
26.09  22
37.18  19
71.73  18
34.15  17

Atomic structure:
```
TmMg2Ni9
1.0
2.419 1.396 7.868
-2.419 1.396 7.868
0.000 -2.793 7.868
Tm Mg Ni
1 2 9
Direct
0.000 0.000 0.000
0.143 0.143 0.143
0.857 0.857 0.857
0.082 0.585 0.585
0.334 0.334 0.334
0.415 0.415 0.918
0.415 0.918 0.415
0.500 0.500 0.500
0.585 0.082 0.585
0.585 0.585 0.082
0.666 0.666 0.666
0.918 0.415 0.415
```



[2]
Theoretical powder XRD pattern
Compound: SmDySc2
Radiation: λ = 1.5418 Å (Cu Kα)
Structure: DFT lattice parameters and positions (PBE)
Lines closer than 0.1° are merged.

Largest 8 diffraction maxima, by intensity, 10 to 90 degrees two-theta:
2θ/deg  I/Imax
32.88  100
35.55  82
16.13  76
32.59  48
29.99  46
63.63  40
30.37  37
53.02  35

Atomic structure:
```
SmDySc2
1.0
1.727 0.997 10.991
-1.727 0.997 10.991
0.000 -1.994 10.991
Sm Dy Sc
1 1 2
Direct
0.000 0.000 0.000
0.834 0.834 0.834
0.250 0.250 0.250
0.418 0.418 0.418
```



[3]
Theoretical powder XRD pattern
Compound: Sc4BeOs
Radiation: λ = 1.5418 Å (Cu Kα)
Structure: DFT lattice parameters and positions (PBE)
Lines closer than 0.1° are merged.

Largest 8 diffraction maxima, by intensity, 10 to 90 degrees two-theta:
2θ/deg  I/Imax
38.93  100
20.04  50
33.02  43
23.18  43
62.94  31
40.74  28
53.40  21
69.27  17

Atomic structure:
```
Sc4BeOs
1.0
0.000 3.836 3.836
3.836 0.000 3.836
3.836 3.836 0.000
Sc Be Os
4 1 1
Direct
0.377 0.377 0.377
0.377 0.377 0.869
0.377 0.869 0.377
0.869 0.377 0.377
0.000 0.000 0.000
0.750 0.750 0.750
```



[4]
Theoretical powder XRD pattern
Compound: Nd2Zn2Ge3
Radiation: λ = 1.5418 Å (Cu Kα)
Structure: DFT lattice parameters and positions (PBE)
Lines closer than 0.1° are merged.

Largest 8 diffraction maxima, by intensity, 10 to 90 degrees two-theta:
2θ/deg  I/Imax
33.17  100
33.47  95
41.30  42
43.52  32
30.01  29
36.25  24
61.55  22
40.40  17

Atomic structure:
```
Nd2Zn2Ge3
1.0
2.186 -9.913 0.000
2.186 9.913 0.000
0.000 0.000 6.873
Nd Zn Ge
4 4 6
Direct
0.042 0.958 0.750
0.160 0.840 0.250
0.840 0.160 0.750
0.958 0.042 0.250
0.312 0.688 0.053
0.312 0.688 0.447
0.688 0.312 0.553
0.688 0.312 0.947
0.212 0.788 0.750
0.435 0.565 0.565
0.435 0.565 0.935
0.565 0.435 0.065
0.565 0.435 0.435
0.788 0.212 0.250
```